Starting from a PBE-relaxed structure, the XRD peak list of Mg4Pt3 was simulated for CuKα.
No peak broadening, texture or thermal motion is included.

Largest 10 diffraction maxima, in order of rising 2θ, 2θ from 10° to 80°:
| 2θ/deg | Rel. int. |
| --- | --- |
| 13.4 | 455 |
| 23.4 | 466 |
| 30.4 | 400 |
| 36.1 | 422 |
| 38.8 | 271 |
| 41.1 | 1000 |
| 54.0 | 320 |
| 64.8 | 209 |
| 71.8 | 194 |
| 78.2 | 233 |

Structural model:
```
Mg4Pt3
1.0
7.6113 0.0000 0.0000
-3.8056 6.5916 0.0000
0.0000 0.0000 4.6447
Mg Pt
8 6
Cartesian
-2.6893 5.1400 1.1612
0.6989 1.6926 1.1612
1.8153 0.2410 3.4835
0.0000 4.3944 1.1612
3.8056 2.1972 3.4835
1.9904 6.3506 1.1612
3.1067 4.8990 3.4835
6.4949 1.4516 3.4835
-1.6893 4.1500 3.4835
1.0562 3.0536 3.4835
3.1726 0.6121 1.1612
0.6331 5.9795 3.4835
2.7494 3.5380 1.1612
5.4949 2.4415 1.1612
```

=====

Starting from a PBE-relaxed structure, the XRD peak list of MgSbPt was simulated for CuKα.
No peak broadening, texture or thermal motion is included.

Largest 10 diffraction maxima, in order of rising 2θ, 2θ from 10° to 80°:
| 2θ/deg | Rel. int. |
| --- | --- |
| 24.3 | 989 |
| 28.2 | 21 |
| 40.3 | 1000 |
| 47.6 | 499 |
| 49.9 | 7 |
| 58.3 | 169 |
| 64.1 | 206 |
| 66.0 | 10 |
| 73.2 | 343 |
| 78.5 | 156 |

Structural model:
```
MgSbPt
1.0
6.3323 0.0000 0.0000
0.0000 6.3323 0.0000
0.0000 0.0000 6.3323
Mg Sb Pt
4 4 4
Cartesian
0.0041 0.0041 0.0041
3.1620 6.3282 3.1703
3.1703 3.1620 6.3282
6.3282 3.1703 3.1620
0.0000 0.0000 3.1662
0.0000 3.1662 0.0000
3.1662 0.0000 0.0000
3.1662 3.1662 3.1662
1.5857 1.5857 1.5857
1.5805 4.7467 4.7519
4.7519 1.5805 4.7467
4.7467 4.7519 1.5805
```

=====

Starting from a PBE-relaxed structure, the XRD peak list of Mg2TaSb3Pt3 was simulated for CuKα.
No peak broadening, texture or thermal motion is included.

Largest 10 diffraction maxima, in order of rising 2θ, 2θ from 10° to 80°:
| 2θ/deg | Rel. int. |
| --- | --- |
| 13.8 | 76 |
| 18.0 | 48 |
| 24.4 | 638 |
| 40.4 | 1000 |
| 47.8 | 210 |
| 47.8 | 101 |
| 58.5 | 165 |
| 64.4 | 125 |
| 73.5 | 326 |
| 78.8 | 56 |

Structural model:
```
Mg2TaSb3Pt3
1.0
3.8659 -6.6883 0.0000
3.8659 6.6883 0.0000
-2.5862 0.0000 7.2868
Mg Ta Sb Pt
4 2 6 6
Cartesian
2.5728 5.5724 3.6434
3.9014 3.3228 0.0032
2.6083 -3.3228 3.6466
3.8659 -5.5724 0.0000
2.6027 1.1078 3.6495
3.8959 -1.1078 0.0060
1.3308 3.2970 1.8192
-0.0745 1.1349 5.4989
1.2186 -1.1349 1.8555
0.0377 -3.2970 5.4627
5.2459 1.1797 1.8115
3.9528 -1.1797 5.4550
1.3589 3.2352 4.5359
2.6559 1.0029 0.9883
1.3628 -1.0029 4.6317
2.6520 -3.2352 0.8925
5.0672 1.1204 4.5287
6.3603 -1.1204 0.8853
```